(1)
Theoretical powder X-ray diffraction pattern of Sr3CdHg5 for Cu Kα X-rays, from a crystal structure in Alexandria, relaxed with PBE.
No peak broadening, texture or thermal motion is included.

Atomic structure:
Unit cell a=9.6508 b=9.6508 c=6.5836 alpha=90.00 beta=90.00 gamma=120.00
Space group P6_3/mcm (No. 193)
Symmetry-distinct sites (fractional):
Sr (0.0000, 0.3683, 0.2500) (multiplicity 6)
Cd (0.0000, 0.0000, 0.0000) (multiplicity 2)
Hg (0.0000, 0.2863, 0.7500) (multiplicity 6)
Hg (0.3333, 0.6667, 0.0000) (multiplicity 4)

Most intense lines, 2θ = 10–80°, in order of falling intensity:
- 32.9 deg, rel. 100, (1 1 2)
- 32.1 deg, rel. 92, (3 0 0)
- 46.7 deg, rel. 33, (2 2 2)
- 31.4 deg, rel. 31, (2 1 1)
- 57.8 deg, rel. 27, (4 1 2)
- 65.9 deg, rel. 24, (3 0 4)

=====

(2)
Theoretical powder X-ray diffraction pattern of SrCd3Hg7 for Cu Kα X-rays, from a crystal structure in Alexandria, relaxed with PBE.
No peak broadening, texture or thermal motion is included.

Atomic structure:
Unit cell a=7.1295 b=11.0765 c=7.7655 alpha=90.00 beta=97.36 gamma=90.00
Space group C2/m (No. 12)
Symmetry-distinct sites (fractional):
Sr (0.0000, 0.0000, 0.0000) (multiplicity 2)
Cd (0.0000, 0.2640, 0.5000) (multiplicity 4)
Cd (0.0000, 0.5000, 0.0000) (multiplicity 2)
Hg (0.0000, 0.0000, 0.5000) (multiplicity 2)
Hg (0.1462, 0.5000, 0.6660) (multiplicity 4)
Hg (0.2216, 0.2928, 0.1846) (multiplicity 8)

Most intense lines, 2θ = 10–80°, in order of falling intensity:
- 32.1 deg, rel. 100, (2 0 -2)
- 29.0 deg, rel. 84, (1 1 2)
- 33.4 deg, rel. 72, (2 2 1)
- 38.7 deg, rel. 66, (0 2 3)
- 30.3 deg, rel. 65, (1 3 1)
- 32.3 deg, rel. 64, (0 4 0)

=====

(3)
Theoretical powder X-ray diffraction pattern of SrCd2Hg10 for Cu Kα X-rays, from a crystal structure in Alexandria, relaxed with PBE.
No peak broadening, texture or thermal motion is included.

Atomic structure:
Unit cell a=6.1488 b=14.9747 c=15.0149 alpha=90.00 beta=90.00 gamma=90.00
Space group Fmmm (No. 69)
Symmetry-distinct sites (fractional):
Sr (0.0000, 0.0000, 0.0000) (multiplicity 4)
Cd (0.2500, 0.0000, 0.2500) (multiplicity 8)
Hg (0.0000, 0.1040, 0.3944) (multiplicity 16)
Hg (0.0000, 0.1743, 0.1783) (multiplicity 16)
Hg (0.2500, 0.2500, 0.0000) (multiplicity 8)

Most intense lines, 2θ = 10–80°, in order of falling intensity:
- 37.9 deg, rel. 100, (2 4 0)
- 33.7 deg, rel. 84, (2 2 2)
- 33.8 deg, rel. 74, (0 4 4)
- 29.1 deg, rel. 48, (2 0 0)
- 38.0 deg, rel. 37, (0 6 2)
- 60.4 deg, rel. 32, (2 6 6)

=====

(4)
Theoretical powder X-ray diffraction pattern of SrCd6Hg6 for Cu Kα X-rays, from a crystal structure in Alexandria, relaxed with PBE.
No peak broadening, texture or thermal motion is included.

Atomic structure:
Unit cell a=6.1634 b=10.1865 c=10.3501 alpha=90.00 beta=90.00 gamma=90.00
Space group Immm (No. 71)
Symmetry-distinct sites (fractional):
Sr (0.0000, 0.0000, 0.0000) (multiplicity 2)
Cd (0.0000, 0.2548, 0.5000) (multiplicity 4)
Cd (0.2500, 0.2500, 0.2500) (multiplicity 8)
Hg (0.0000, 0.0000, 0.3376) (multiplicity 4)
Hg (0.0000, 0.3525, 0.0000) (multiplicity 4)
Hg (0.0000, 0.5000, 0.3232) (multiplicity 4)

Most intense lines, 2θ = 10–80°, in order of falling intensity:
- 34.6 deg, rel. 100, (1 2 3)
- 38.3 deg, rel. 83, (2 2 2)
- 29.7 deg, rel. 70, (1 0 3)
- 39.3 deg, rel. 46, (1 4 1)
- 34.0 deg, rel. 45, (2 2 0)
- 29.0 deg, rel. 38, (2 0 0)

=====

(5)
Theoretical powder X-ray diffraction pattern of Sr2Cd2Hg3 for Cu Kα X-rays, from a crystal structure in Alexandria, relaxed with PBE.
No peak broadening, texture or thermal motion is included.

Atomic structure:
Unit cell a=4.5810 b=21.1635 c=8.4841 alpha=90.00 beta=90.00 gamma=90.00
Space group Cmcm (No. 63)
Symmetry-distinct sites (fractional):
Sr (0.0000, 0.0579, 0.2500) (multiplicity 4)
Sr (0.0000, 0.1553, 0.7500) (multiplicity 4)
Cd (0.0000, 0.3110, 0.5566) (multiplicity 8)
Hg (0.0000, 0.2277, 0.2500) (multiplicity 4)
Hg (0.0000, 0.4395, 0.0740) (multiplicity 8)

Most intense lines, 2θ = 10–80°, in order of falling intensity:
- 30.6 deg, rel. 100, (1 5 1)
- 29.0 deg, rel. 84, (1 1 2)
- 19.8 deg, rel. 70, (1 1 0)
- 39.6 deg, rel. 59, (1 3 3)
- 36.0 deg, rel. 48, (0 4 3)
- 39.3 deg, rel. 48, (2 0 0)

=====

(6)
Theoretical powder X-ray diffraction pattern of SrCd5Hg6 for Cu Kα X-rays, from a crystal structure in Alexandria, relaxed with PBE.
No peak broadening, texture or thermal motion is included.

Atomic structure:
Unit cell a=7.3213 b=13.2671 c=7.3057 alpha=90.00 beta=113.29 gamma=90.00
Space group C2/m (No. 12)
Symmetry-distinct sites (fractional):
Sr (0.0000, 0.0000, 0.0000) (multiplicity 2)
Cd (0.0000, 0.1197, 0.5000) (multiplicity 4)
Cd (0.0000, 0.3036, 0.0000) (multiplicity 4)
Cd (0.0000, 0.5000, 0.5000) (multiplicity 2)
Hg (0.1718, 0.5000, 0.1996) (multiplicity 4)
Hg (0.2053, 0.3154, 0.6949) (multiplicity 8)

Most intense lines, 2θ = 10–80°, in order of falling intensity:
- 30.0 deg, rel. 100, (1 3 1)
- 29.2 deg, rel. 81, (2 0 -2)
- 42.4 deg, rel. 71, (1 3 -3)
- 36.9 deg, rel. 34, (2 2 1)
- 40.8 deg, rel. 27, (0 6 0)
- 24.9 deg, rel. 26, (1 3 -1)

=====

(7)
Theoretical powder X-ray diffraction pattern of Sr3CdHg for Cu Kα X-rays, from a crystal structure in Alexandria, relaxed with PBE.
No peak broadening, texture or thermal motion is included.

Atomic structure:
Unit cell a=5.7520 b=22.3086 c=5.7520 alpha=90.00 beta=90.00 gamma=90.00
Space group Cmcm (No. 63)
Symmetry-distinct sites (fractional):
Sr (0.0000, 0.0730, 0.2500) (multiplicity 4)
Sr (0.0000, 0.2499, 0.2500) (multiplicity 4)
Sr (0.0000, 0.4266, 0.2500) (multiplicity 4)
Cd (0.0000, 0.1583, 0.7500) (multiplicity 4)
Hg (0.0000, 0.3428, 0.7500) (multiplicity 4)

Most intense lines, 2θ = 10–80°, in order of falling intensity:
- 29.7 deg, rel. 100, (1 5 1)
- 31.1 deg, rel. 54, (2 0 0)
- 54.5 deg, rel. 36, (3 5 1)
- 35.8 deg, rel. 21, (1 7 1)
- 44.6 deg, rel. 20, (2 0 2)
- 15.9 deg, rel. 13, (0 4 0)

=====

(8)
Theoretical powder X-ray diffraction pattern of SrCd2Hg7 for Cu Kα X-rays, from a crystal structure in Alexandria, relaxed with PBE.
No peak broadening, texture or thermal motion is included.

Atomic structure:
Unit cell a=9.7190 b=17.6433 c=3.6829 alpha=90.00 beta=90.00 gamma=90.00
Space group Cmmm (No. 65)
Symmetry-distinct sites (fractional):
Sr (0.0000, 0.0000, 0.0000) (multiplicity 2)
Cd (0.0000, 0.3293, 0.5000) (multiplicity 4)
Hg (0.0000, 0.1955, 0.0000) (multiplicity 4)
Hg (0.0000, 0.5000, 0.5000) (multiplicity 2)
Hg (0.2230, 0.1031, 0.5000) (multiplicity 8)

Most intense lines, 2θ = 10–80°, in order of falling intensity:
- 36.5 deg, rel. 100, (1 5 1)
- 27.3 deg, rel. 96, (2 4 0)
- 35.7 deg, rel. 91, (2 6 0)
- 37.3 deg, rel. 73, (3 1 1)
- 37.0 deg, rel. 62, (4 0 0)
- 30.5 deg, rel. 58, (2 0 1)

=====

(9)
Theoretical powder X-ray diffraction pattern of Sr12CdHg6 for Cu Kα X-rays, from a crystal structure in Alexandria, relaxed with PBE.
No peak broadening, texture or thermal motion is included.

Atomic structure:
Unit cell a=11.4807 b=11.4807 c=11.4807 alpha=90.00 beta=90.00 gamma=90.00
Space group Im-3 (No. 204)
Symmetry-distinct sites (fractional):
Sr (0.0000, 0.1787, 0.2931) (multiplicity 24)
Cd (0.0000, 0.0000, 0.0000) (multiplicity 2)
Hg (0.0000, 0.3662, 0.5000) (multiplicity 12)

Most intense lines, 2θ = 10–80°, in order of falling intensity:
- 29.1 deg, rel. 100, (3 2 1)
- 40.0 deg, rel. 38, (4 1 3)
- 15.4 deg, rel. 28, (2 0 0)
- 33.1 deg, rel. 19, (3 3 0)
- 47.5 deg, rel. 19, (6 0 0)
- 10.9 deg, rel. 17, (1 1 0)

=====

(10)
Theoretical powder X-ray diffraction pattern of Sr3Cd2Hg9 for Cu Kα X-rays, from a crystal structure in Alexandria, relaxed with PBE.
No peak broadening, texture or thermal motion is included.

Atomic structure:
Unit cell a=5.0375 b=10.2484 c=14.9127 alpha=90.00 beta=90.00 gamma=90.00
Space group Immm (No. 71)
Symmetry-distinct sites (fractional):
Sr (0.0000, 0.0000, 0.0000) (multiplicity 2)
Sr (0.0000, 0.0000, 0.2876) (multiplicity 4)
Cd (0.0000, 0.1695, 0.5000) (multiplicity 4)
Hg (0.0000, 0.2920, 0.1437) (multiplicity 8)
Hg (0.0000, 0.3589, 0.3488) (multiplicity 8)
Hg (0.0000, 0.5000, 0.0000) (multiplicity 2)

Most intense lines, 2θ = 10–80°, in order of falling intensity:
- 30.7 deg, rel. 100, (1 2 3)
- 35.6 deg, rel. 89, (2 0 0)
- 40.0 deg, rel. 85, (1 3 4)
- 39.9 deg, rel. 58, (1 4 1)
- 31.6 deg, rel. 57, (1 3 0)
- 33.9 deg, rel. 57, (1 3 2)

=====

(11)
Theoretical powder X-ray diffraction pattern of SrCd5Hg4 for Cu Kα X-rays, from a crystal structure in Alexandria, relaxed with PBE.
No peak broadening, texture or thermal motion is included.

Atomic structure:
Unit cell a=4.5248 b=7.0615 c=9.2024 alpha=104.81 beta=90.15 gamma=108.62
Space group P-1 (No. 2)
Symmetry-distinct sites (fractional):
Sr (0.0000, 0.0000, 0.0000) (multiplicity 1)
Cd (0.0000, 0.0000, 0.5000) (multiplicity 1)
Cd (0.2992, 0.5981, 0.0956) (multiplicity 2)
Cd (0.3095, 0.6185, 0.4404) (multiplicity 2)
Hg (0.2857, 0.5734, 0.7652) (multiplicity 2)
Hg (0.4985, 0.9935, 0.7125) (multiplicity 2)

Most intense lines, 2θ = 10–80°, in order of falling intensity:
- 27.7 deg, rel. 100, (0 2 0)
- 37.6 deg, rel. 59, (1 1 -3)
- 38.6 deg, rel. 56, (-1 1 3)
- 39.8 deg, rel. 55, (2 -1 0)
- 20.8 deg, rel. 51, (1 -1 0)
- 40.3 deg, rel. 51, (1 -3 0)

=====

(12)
Theoretical powder X-ray diffraction pattern of Sr2Cd6Hg21 for Cu Kα X-rays, from a crystal structure in Alexandria, relaxed with PBE.
No peak broadening, texture or thermal motion is included.

Atomic structure:
Unit cell a=14.9933 b=14.9933 c=14.9933 alpha=90.00 beta=90.00 gamma=90.00
Space group Fm-3m (No. 225)
Symmetry-distinct sites (fractional):
Sr (0.2500, 0.2500, 0.2500) (multiplicity 8)
Cd (0.0000, 0.0000, 0.2239) (multiplicity 24)
Hg (0.0000, 0.0000, 0.5000) (multiplicity 4)
Hg (0.0000, 0.1725, 0.3275) (multiplicity 48)
Hg (0.1243, 0.1243, 0.1243) (multiplicity 32)

Most intense lines, 2θ = 10–80°, in order of falling intensity:
- 31.0 deg, rel. 100, (3 3 3)
- 35.4 deg, rel. 33, (5 3 1)
- 33.8 deg, rel. 32, (4 4 0)
- 35.9 deg, rel. 27, (6 0 0)
- 60.5 deg, rel. 24, (8 4 4)
- 51.7 deg, rel. 20, (6 6 0)